Structure and calculated powder diffraction line list of Cs3K3Rb4Hg2 (a GGA-PBE-relaxed structure; Cu Kα, 1.54184 Å).

Structural model:
Cell lengths 7.009, 38.135, 7.219 Å; angles 90.00, 90.00, 90.00 degrees
Space group Imm2 (No. 44)
Unique sites:
Cs 0.000 0.000 0.000 x2
Cs 0.000 0.184 0.994 x4
K 0.000 0.092 0.494 x4
K 0.000 0.500 0.997 x2
Rb 0.000 0.310 0.992 x4
Rb 0.000 0.409 0.489 x4
Hg 0.000 0.406 0.988 x4

The 10 most intense peaks (15° ≤ 2θ ≤ 90°), sorted by position:
- 2θ 16.91, rel. 40.6
- 2θ 17.18, rel. 74.5
- 2θ 17.64, rel. 100.0
- 2θ 23.33, rel. 51.5
- 2θ 24.66, rel. 65.6
- 2θ 25.42, rel. 61.0
- 2θ 30.22, rel. 39.0
- 2θ 34.20, rel. 38.2
- 2θ 35.71, rel. 49.7
- 2θ 43.09, rel. 44.2